Record 1
This entry pairs a crystal structure of Ac2In12Hg with its theoretical PXRD pattern. Radiation: Cu Kα (λ = 1.5418 Å). Structure: a DFT-relaxed cell (GGA-PBE, Alexandria).

Principal peaks in the range 10° ≤ 2θ ≤ 90°, in order of rising 2θ:
| d/Å | 2θ (°) | Rel. int. |
| --- | --- | --- |
| 3.288 | 27.1 | 94 |
| 3.273 | 27.2 | 97 |
| 2.746 | 32.6 | 61 |
| 2.516 | 35.7 | 38 |
| 2.496 | 36.0 | 100 |
| 2.484 | 36.2 | 35 |
| 2.247 | 40.1 | 32 |
| 1.988 | 45.6 | 55 |
| 1.765 | 51.8 | 23 |
| 1.562 | 59.2 | 38 |

Cell and atoms:
```
data_Ac2In12Hg
_chemical_formula_sum 'Ac4 In24 Hg2'
_symmetry_space_group_name_H-M 'P 4/n b m'
_symmetry_Int_Tables_number 125
_cell_length_a 7.0601
_cell_length_b 7.0601
_cell_length_c 17.4820
_cell_angle_alpha 90.00
_cell_angle_beta 90.00
_cell_angle_gamma 90.00
loop_
_symmetry_equiv_pos_as_xyz
'x,y,z'
'-x,-y,-z'
'-y+1/2,x,z'
'y+1/2,-x,-z'
'-x+1/2,-y+1/2,z'
'x+1/2,y+1/2,-z'
'y,-x+1/2,z'
'-y,x+1/2,-z'
'x,-y+1/2,-z'
'-x,y+1/2,z'
'-y+1/2,-x+1/2,-z'
'y+1/2,x+1/2,z'
'-x+1/2,y,-z'
'x+1/2,-y,z'
'y,x,-z'
'-y,-x,z'
loop_
_atom_site_label
_atom_site_type_symbol
_atom_site_fract_x
_atom_site_fract_y
_atom_site_fract_z
Ac1 Ac 0.2500 0.7500 0.2492
In1 In 0.0007 0.5007 0.0924
In2 In 0.0844 0.5844 0.5699
In3 In 0.2500 0.2500 0.1857
In4 In 0.2500 0.2500 0.3460
Hg1 Hg 0.2500 0.7500 0.0000
```


Record 2
This entry pairs a crystal structure of Cd6In2Ga2Hg with its theoretical PXRD pattern. Radiation: Cu Kα (λ = 1.5418 Å). Structure: a DFT-relaxed cell (GGA-PBE, Alexandria).

Principal peaks in the range 10° ≤ 2θ ≤ 90°, in order of rising 2θ:
| d/Å | 2θ (°) | Rel. int. |
| --- | --- | --- |
| 3.204 | 27.8 | 26 |
| 3.011 | 29.7 | 30 |
| 2.894 | 30.9 | 60 |
| 2.883 | 31.0 | 50 |
| 2.524 | 35.6 | 71 |
| 2.504 | 35.9 | 61 |
| 2.473 | 36.3 | 100 |
| 2.381 | 37.8 | 27 |
| 2.249 | 40.1 | 43 |
| 2.213 | 40.8 | 29 |

Cell and atoms:
```
data_Cd6In2Ga2Hg
_chemical_formula_sum 'Cd6 In2 Ga2 Hg1'
_symmetry_space_group_name_H-M 'P -1'
_symmetry_Int_Tables_number 2
_symmetry_space_group_name_Hall '-P 1'
_cell_length_a 6.7141
_cell_length_b 6.8279
_cell_length_c 7.4481
_cell_angle_alpha 63.34
_cell_angle_beta 87.23
_cell_angle_gamma 62.29
loop_
_atom_site_label
_atom_site_type_symbol
_atom_site_fract_x
_atom_site_fract_y
_atom_site_fract_z
Cd1 Cd 0.0464 0.2634 0.2026
Cd2 Cd 0.2407 0.6956 0.4718
Cd3 Cd 0.3863 0.4567 0.1909
In1 In 0.2882 0.1321 0.6125
Ga1 Ga 0.3836 0.2515 0.9208
Hg1 Hg 0.0000 0.0000 0.0000
```


Record 3
This entry pairs a crystal structure of DyPuTe2O with its theoretical PXRD pattern. Radiation: Cu Kα (λ = 1.5418 Å). Structure: a DFT-relaxed cell (GGA-PBE, Alexandria).

Principal peaks in the range 10° ≤ 2θ ≤ 90°, in order of rising 2θ:
| d/Å | 2θ (°) | Rel. int. |
| --- | --- | --- |
| 7.787 | 11.4 | 22 |
| 3.893 | 22.8 | 18 |
| 3.247 | 27.5 | 54 |
| 2.943 | 30.4 | 100 |
| 2.843 | 31.5 | 24 |
| 2.494 | 36.0 | 64 |
| 2.348 | 38.3 | 24 |
| 2.081 | 43.5 | 42 |
| 1.752 | 52.2 | 19 |
| 1.598 | 57.7 | 43 |

Cell and atoms:
```
data_DyPuTe2O
_chemical_formula_sum 'Dy2 Pu2 Te4 O2'
_symmetry_space_group_name_H-M 'P 4/n m m'
_symmetry_Int_Tables_number 129
_cell_length_a 4.1619
_cell_length_b 4.1619
_cell_length_c 15.5738
_cell_angle_alpha 90.00
_cell_angle_beta 90.00
_cell_angle_gamma 90.00
loop_
_symmetry_equiv_pos_as_xyz
'x,y,z'
'-x,-y,-z'
'-y+1/2,x,z'
'y+1/2,-x,-z'
'-x+1/2,-y+1/2,z'
'x+1/2,y+1/2,-z'
'y,-x+1/2,z'
'-y,x+1/2,-z'
'x+1/2,-y,-z'
'-x+1/2,y,z'
'-y,-x,-z'
'y,x,z'
'-x,y+1/2,-z'
'x,-y+1/2,z'
'y+1/2,x+1/2,-z'
'-y+1/2,-x+1/2,z'
loop_
_atom_site_label
_atom_site_type_symbol
_atom_site_fract_x
_atom_site_fract_y
_atom_site_fract_z
Dy1 Dy 0.2500 0.2500 0.1304
Pu1 Pu 0.2500 0.2500 0.5692
Te1 Te 0.2500 0.2500 0.3173
Te2 Te 0.2500 0.2500 0.9149
O1 O 0.2500 0.7500 0.5000
```


Record 4
This entry pairs a crystal structure of SrLi2CdAu5 with its theoretical PXRD pattern. Radiation: Cu Kα (λ = 1.5418 Å). Structure: a DFT-relaxed cell (GGA-PBE, Alexandria).

Principal peaks in the range 10° ≤ 2θ ≤ 90°, in order of rising 2θ:
| d/Å | 2θ (°) | Rel. int. |
| --- | --- | --- |
| 4.101 | 21.7 | 12 |
| 3.439 | 25.9 | 12 |
| 3.135 | 28.5 | 13 |
| 2.554 | 35.1 | 100 |
| 2.432 | 37.0 | 49 |
| 1.757 | 52.0 | 9 |
| 1.720 | 53.3 | 17 |
| 1.501 | 61.8 | 15 |
| 1.426 | 65.4 | 33 |
| 1.098 | 89.2 | 10 |

Cell and atoms:
```
data_SrLi2CdAu5
_chemical_formula_sum 'Sr1 Li2 Cd1 Au5'
_symmetry_space_group_name_H-M 'P 4/m m m'
_symmetry_Int_Tables_number 123
_symmetry_space_group_name_Hall '-P 4 2'
_cell_length_a 4.8639
_cell_length_b 4.8639
_cell_length_c 7.6276
_cell_angle_alpha 90.00
_cell_angle_beta 90.00
_cell_angle_gamma 90.00
loop_
_atom_site_label
_atom_site_type_symbol
_atom_site_fract_x
_atom_site_fract_y
_atom_site_fract_z
Sr1 Sr 0.0000 0.0000 0.0000
Li1 Li 0.5000 0.5000 0.3416
Cd1 Cd 0.0000 0.0000 0.5000
Au1 Au 0.0000 0.5000 0.2796
Au2 Au 0.5000 0.5000 0.0000
```